Diffraction record for Li11Cr3Fe3O16. The X-ray diffraction stick pattern is simulated, not measured: it uses DFT lattice parameters and positions (PBE+U) and CuKα.

```
Li11Cr3Fe3O16
1.0
5.844 0.000 0.000
2.919 5.189 0.000
1.435 2.021 9.877
Li Cr Fe O
11 3 3 16
Direct
0.000 0.000 0.000
0.002 0.472 0.003
0.150 0.489 0.430
0.302 0.704 0.504
0.335 0.086 0.503
0.452 0.734 0.743
0.506 0.992 0.998
0.521 0.478 0.993
0.748 0.703 0.505
0.806 0.157 0.475
0.825 0.237 0.230
0.328 0.233 0.231
0.452 0.237 0.732
0.953 0.235 0.731
0.328 0.736 0.231
0.823 0.736 0.232
0.952 0.736 0.736
0.008 0.353 0.343
0.113 0.959 0.623
0.128 0.442 0.617
0.167 0.610 0.117
0.178 0.114 0.122
0.270 0.050 0.834
0.290 0.495 0.839
0.471 0.353 0.344
0.482 0.864 0.353
0.624 0.958 0.624
0.638 0.421 0.622
0.647 0.116 0.123
0.656 0.632 0.115
0.780 0.028 0.843
0.805 0.493 0.841
0.995 0.837 0.355
```

Main lines, most intense first (2θ = 5–70°):
4.941 Å, I = 100.0
1.982 Å, I = 15.8
2.042 Å, I = 14.4
2.236 Å, I = 13.6
2.543 Å, I = 13.5
2.289 Å, I = 11.6
2.096 Å, I = 11.3
2.470 Å, I = 9.7
1.461 Å, I = 8.8
2.448 Å, I = 7.3